(1)
For CaPm5Sm2, the GGA-PBE geometry in Alexandria gives the calculated X-ray powder pattern in this record (a wavelength of 1.5418 Å).
Lines closer than 0.1° are merged.

Unit cell a=10.404 b=10.404 c=10.404 alpha=145.90 beta=111.54 gamma=78.74
Sites, in units of the cell vectors:
Ca1 0.347 0.097 0.250
Ca2 0.653 0.903 0.750
Pm1 0.043 0.106 0.937
Pm2 0.202 0.452 0.750
Pm3 0.278 0.696 0.582
Pm4 0.331 0.894 0.437
Pm5 0.386 0.304 0.082
Pm6 0.614 0.696 0.918
Pm7 0.669 0.106 0.563
Pm8 0.722 0.304 0.418
Pm9 0.798 0.548 0.250
Pm10 0.957 0.894 0.063
Sm1 0.000 0.000 0.500
Sm2 0.000 0.500 0.000
Sm3 0.000 0.500 0.500
Sm4 0.500 0.500 0.000

Largest 10 diffraction maxima, in order of rising 2θ, 2θ from 10° to 80°:
- d 3.228, 2θ = 27.64°, intensity 16
- d 3.155, 2θ = 28.29°, intensity 26
- d 3.045, 2θ = 29.33°, intensity 100
- d 2.847, 2θ = 31.43°, intensity 60
- d 2.705, 2θ = 33.12°, intensity 17
- d 2.586, 2θ = 34.69°, intensity 22
- d 2.560, 2θ = 35.05°, intensity 32
- d 2.367, 2θ = 38.02°, intensity 18
- d 2.042, 2θ = 44.35°, intensity 20
- d 1.661, 2θ = 55.31°, intensity 24

(2)
For Ca2PmSm4, the GGA-PBE geometry in Alexandria gives the calculated X-ray powder pattern in this record (a wavelength of 1.5418 Å).
Lines closer than 0.1° are merged.

Unit cell a=3.567 b=5.926 c=23.764 alpha=90.00 beta=90.00 gamma=90.00
Sites, in units of the cell vectors:
Ca1 0.000 0.000 0.221
Ca2 0.000 0.000 0.779
Ca3 0.500 0.500 0.279
Ca4 0.500 0.500 0.721
Pm1 0.000 0.000 0.500
Pm2 0.500 0.500 0.000
Sm1 0.000 0.500 0.130
Sm2 0.000 0.500 0.420
Sm3 0.000 0.500 0.580
Sm4 0.000 0.500 0.870
Sm5 0.500 0.000 0.080
Sm6 0.500 0.000 0.370
Sm7 0.500 0.000 0.630
Sm8 0.500 0.000 0.920

Largest 10 diffraction maxima, in order of rising 2θ, 2θ from 10° to 80°:
- d 3.253, 2θ = 27.42°, intensity 39
- d 3.056, 2θ = 29.22°, intensity 23
- d 2.964, 2θ = 30.15°, intensity 59
- d 2.946, 2θ = 30.34°, intensity 89
- d 2.718, 2θ = 32.96°, intensity 100
- d 2.420, 2θ = 37.16°, intensity 21
- d 2.190, 2θ = 41.21°, intensity 26
- d 1.659, 2θ = 55.37°, intensity 23
- d 1.568, 2θ = 58.90°, intensity 24
- d 1.526, 2θ = 60.70°, intensity 24

(3)
For Ca4PmSm3Te8, the GGA-PBE geometry in Alexandria gives the calculated X-ray powder pattern in this record (a wavelength of 1.5418 Å).
Lines closer than 0.1° are merged.

Unit cell a=9.028 b=9.028 c=9.028 alpha=58.82 beta=58.82 gamma=58.82
Sites, in units of the cell vectors:
Ca1 0.000 0.000 0.000
Ca2 0.000 0.500 0.500
Ca3 0.500 0.000 0.500
Ca4 0.500 0.500 0.000
Pm1 0.500 0.500 0.500
Sm1 0.000 0.000 0.500
Sm2 0.000 0.500 0.000
Sm3 0.500 0.000 0.000
Te1 0.249 0.249 0.750
Te2 0.249 0.750 0.249
Te3 0.250 0.250 0.250
Te4 0.250 0.751 0.751
Te5 0.750 0.249 0.249
Te6 0.750 0.750 0.750
Te7 0.751 0.250 0.751
Te8 0.751 0.751 0.250

Largest 10 diffraction maxima, in order of rising 2θ, 2θ from 10° to 80°:
- d 7.437, 2θ = 11.90°, intensity 13
- d 3.783, 2θ = 23.51°, intensity 9
- d 3.162, 2θ = 28.22°, intensity 100
- d 2.256, 2θ = 39.96°, intensity 39
- d 2.216, 2θ = 40.71°, intensity 37
- d 1.815, 2θ = 50.27°, intensity 20
- d 1.581, 2θ = 58.36°, intensity 13
- d 1.424, 2θ = 65.53°, intensity 18
- d 1.404, 2θ = 66.60°, intensity 17
- d 1.287, 2θ = 73.59°, intensity 13

Q: Which formula does entry 1 have?
A: CaPm5Sm2